For Np3Si2, a DFT-relaxed cell (PBE, the Materials Project) gives the computed XRD peak list in this record (Cu Kα (λ = 1.5418 Å)).
Neutral-atom scattering factors, no anomalous dispersion.

Crystal structure
```
Np3Si2
1.0
7.0396 0.0000 0.0000
0.0000 7.0396 0.0000
0.0000 0.0000 3.8448
Np Si
6 4
direct
0.0000 0.0000 0.0000
0.1842 0.3158 0.5000
0.3158 0.8158 0.5000
0.5000 0.5000 0.0000
0.6842 0.1842 0.5000
0.8158 0.6842 0.5000
0.1164 0.6164 0.0000
0.3836 0.1164 0.0000
0.6164 0.8836 0.0000
0.8836 0.3836 0.0000
```

The 12 most intense peaks (2θ from 10° to 80°), sorted by position:
2θ/deg, intensity, hkl
28.3, 41, 2 1 0
29.4, 37, 1 1 1
34.5, 100, 2 0 1
36.1, 29, 2 2 0
36.9, 68, 2 1 1
40.5, 40, 3 1 0
47.3, 20, 0 0 2
53.7, 18, 4 1 0
59.2, 25, 4 1 1
60.8, 40, 3 3 1
64.0, 26, 3 1 2
72.8, 16, 5 1 1